Entry 1:
# K2Zr2UTe6
Calculated X-ray powder pattern, copper Kα. Input: the PBE geometry in Alexandria.

Peak list (6 most intense, 2θ from 5° to 70°, low angle first)
Position (°2θ), Rel. int., (hkl)
10.3, 100, 0 0 1
28.1, 97, 1 3 1
28.3, 49, 2 0 -2
34.6, 25, 1 3 2
37.3, 36, 1 3 -3
43.2, 32, 3 3 -1

abc: 7.253 12.620 8.934
angles: 90.00 105.36 90.00
Space group C2/m (No. 12)
Asymmetric unit:
1 K 0.000 0.162 0.000
2 Zr 0.000 0.332 0.500
3 U 0.000 0.000 0.500
4 Te 0.217 0.500 0.704
5 Te 0.241 0.171 0.706



Entry 2:
# Cs4ZrU3Te8
Calculated X-ray powder pattern, copper Kα. Input: the PBE geometry in Alexandria.

Peak list (6 most intense, 2θ from 5° to 70°, low angle first)
Position (°2θ), Rel. int., (hkl)
9.8, 24, 0 0 3
26.5, 100, 0 2 4
35.2, 35, 2 0 8
40.3, 36, 2 2 0
48.9, 19, 4 0 4
65.2, 16, 2 4 4

abc: 8.9450 8.9450 27.0873
angles: 90.00 90.00 120.00
Space group R-3m (No. 166, hexagonal axes)
Asymmetric unit:
1 Cs 0.0000 0.0000 0.0000
2 Cs 0.0000 0.5000 0.0000
3 Zr 0.0000 0.0000 0.5000
4 U 0.0000 0.5000 0.5000
5 Te 0.0000 0.0000 0.2319
6 Te 0.0119 0.5060 0.2300



Entry 3:
# Ba2InGa2
Calculated X-ray powder pattern, copper Kα. Input: the PBE geometry in Alexandria.

Peak list (6 most intense, 2θ from 5° to 70°, low angle first)
Position (°2θ), Rel. int., (hkl)
27.7, 63, 3 1 -1
28.7, 95, 0 2 1
29.5, 72, 2 0 2
30.8, 58, 3 1 -2
32.5, 100, 1 1 -3
34.7, 79, 2 2 1

abc: 11.166 6.643 9.072
angles: 90.00 105.20 90.00
Space group C2/c (No. 15)
Asymmetric unit:
1 Ba 0.143 0.143 0.141
2 In 0.000 0.379 0.750
3 Ga 0.149 0.357 0.498



Entry 4:
# Nd7DyTm3
Calculated X-ray powder pattern, copper Kα. Input: the PBE geometry in Alexandria.

Peak list (6 most intense, 2θ from 5° to 70°, low angle first)
Position (°2θ), Rel. int., (hkl)
28.8, 22, 2 2 -2
31.1, 50, 6 0 0
31.8, 100, 0 0 4
33.2, 31, 6 0 -4
33.6, 55, 2 2 2
50.4, 26, 4 2 -6

abc: 19.220 7.189 12.583
angles: 90.00 116.28 90.00
Space group C2/c (No. 15)
Asymmetric unit:
1 Nd 0.000 0.214 0.250
2 Nd 0.158 0.494 0.773
3 Nd 0.167 0.247 0.027
4 Nd 0.168 0.248 0.529
5 Dy 0.000 0.000 0.000
6 Tm 0.000 0.500 0.000
7 Tm 0.171 0.003 0.275



Entry 5:
# K4WAu
Calculated X-ray powder pattern, copper Kα. Input: the PBE geometry in Alexandria.

Peak list (6 most intense, 2θ from 5° to 70°, low angle first)
Position (°2θ), Rel. int., (hkl)
15.6, 41, 1 1 1
25.5, 87, 2 2 0
30.0, 100, 3 1 1
45.0, 39, 4 2 2
47.9, 36, 5 1 1
52.5, 24, 4 4 0

abc: 9.863 9.863 9.863
angles: 90.00 90.00 90.00
Space group F-43m (No. 216)
Asymmetric unit:
1 K 0.125 0.125 0.125
2 W 0.250 0.250 0.750
3 Au 0.000 0.000 0.500



Entry 6:
# AcTlSeO4
Calculated X-ray powder pattern, copper Kα. Input: the PBE geometry in Alexandria.

Peak list (6 most intense, 2θ from 5° to 70°, low angle first)
Position (°2θ), Rel. int., (hkl)
15.7, 54, 1 1 1
25.8, 100, 2 2 0
30.4, 30, 3 1 1
40.3, 19, 3 3 1
45.5, 44, 4 2 2
60.0, 19, 6 2 0

abc: 9.758 9.758 9.758
angles: 90.00 90.00 90.00
Space group F-43m (No. 216)
Asymmetric unit:
1 Ac 0.000 0.000 0.000
2 Tl 0.250 0.250 0.750
3 Se 0.250 0.250 0.250
4 O 0.138 0.138 0.138



What is the formula in the first record? K2Zr2UTe6



Please write out number 3 again, unchanged.
# Ba2InGa2
Calculated X-ray powder pattern, copper Kα. Input: the PBE geometry in Alexandria.

Peak list (6 most intense, 2θ from 5° to 70°, low angle first)
Position (°2θ), Rel. int., (hkl)
27.7, 63, 3 1 -1
28.7, 95, 0 2 1
29.5, 72, 2 0 2
30.8, 58, 3 1 -2
32.5, 100, 1 1 -3
34.7, 79, 2 2 1

abc: 11.166 6.643 9.072
angles: 90.00 105.20 90.00
Space group C2/c (No. 15)
Asymmetric unit:
1 Ba 0.143 0.143 0.141
2 In 0.000 0.379 0.750
3 Ga 0.149 0.357 0.498